Calculated powder diffractogram of GdHfNO for Cu Kα X-rays, from a DFT-relaxed cell (PBE, OQMD).
Intensities are scaled so that the largest is 100.

```
data_GdHfNO
_space_group_name_H-M_alt 'P 1'
_space_group_IT_number 1
_space_group_name_Hall 'P 1'
_cell_length_a 7.8080
_cell_length_b 6.5921
_cell_length_c 4.6748
_cell_angle_alpha 90.00
_cell_angle_beta 90.00
_cell_angle_gamma 90.00
loop_
_atom_site_label
_atom_site_type_symbol
_atom_site_fract_x
_atom_site_fract_y
_atom_site_fract_z
_atom_site_occupancy
Gd1 Gd 0.1229 0.0531 0.2500 1
Gd2 Gd 0.1229 0.4469 0.7500 1
Gd3 Gd 0.8771 0.5531 0.2500 1
Gd4 Gd 0.8771 0.9469 0.7500 1
Hf1 Hf 0.3743 0.5950 0.2500 1
Hf2 Hf 0.3743 0.9050 0.7500 1
Hf3 Hf 0.6257 0.0950 0.2500 1
Hf4 Hf 0.6257 0.4050 0.7500 1
N1 N 0.4016 0.5827 0.7500 1
N2 N 0.4016 0.9173 0.2500 1
N3 N 0.5984 0.0827 0.7500 1
N4 N 0.5984 0.4173 0.2500 1
O1 O 0.1601 0.0977 0.7500 1
O2 O 0.1601 0.4023 0.2500 1
O3 O 0.8398 0.5977 0.7500 1
O4 O 0.8398 0.9023 0.2500 1
```

Top 10 peaks for 15° ≤ 2θ ≤ 90°, by angle:
two_theta	d/Å	intensity
26.54	3.359	33
27.05	3.296	23
32.83	2.728	100
33.26	2.694	36
38.52	2.337	29
46.52	1.952	16
47.45	1.916	40
58.38	1.581	18
62.72	1.481	23
66.10	1.414	14